For LiMnF4, a DFT-relaxed cell (GGA+U, Alexandria) gives the computed X-ray powder pattern in this record (Cu Kα X-rays).
Intensities are scaled so that the largest is 100.

Principal peaks in the range 15° ≤ 2θ ≤ 90°, low angle first:
two_theta  I (rel.)  index
17.6  55  0 0 2
25.9  100  1 1 1
36.2  18  1 1 3
40.5  14  1 0 4
40.7  28  1 2 2
51.7  11  1 1 5
53.0  15  2 0 4
53.2  21  2 2 2
64.0  16  0 2 6
67.6  10  3 1 3

Crystal structure
a b c (Å): 4.731 5.775 10.104
angles (deg): 90.00 90.00 90.00
Space group Pbcn (No. 60)
One atom of each set of equivalent atoms:
Li (0.000, 0.000, 0.000) (multiplicity 4)
Mn (0.000, 0.294, 0.250) (multiplicity 4)
F (0.199, 0.280, 0.093) (multiplicity 8)
F (0.235, 0.030, 0.330) (multiplicity 8)

For V3CdO9, a DFT-relaxed cell (GGA+U, Alexandria) gives the computed X-ray powder pattern in this record (Cu Kα X-rays).
Intensities are scaled so that the largest is 100.

Principal peaks in the range 15° ≤ 2θ ≤ 90°, low angle first:
two_theta  I (rel.)  index
15.8  16  0 2 0
16.6  15  1 1 1
21.7  15  2 0 1
22.8  100  0 0 2
24.3  89  2 2 0
25.5  38  1 3 0
26.9  47  2 2 1
33.6  41  2 2 2
42.7  20  2 2 3
49.4  21  3 5 0

Crystal structure
a b c (Å): 9.637 11.251 7.786
angles (deg): 90.00 90.00 90.00
Space group C222_1 (No. 20)
One atom of each set of equivalent atoms:
V (0.019, 0.205, 0.025) (multiplicity 8)
V (0.233, 0.000, 0.500) (multiplicity 4)
Cd (0.166, 0.500, 0.500) (multiplicity 4)
O (0.000, 0.183, 0.250) (multiplicity 4)
O (0.003, 0.351, 0.522) (multiplicity 8)
O (0.121, 0.119, 0.565) (multiplicity 8)
O (0.174, 0.151, 0.963) (multiplicity 8)
O (0.176, 0.472, 0.817) (multiplicity 8)